Structure and calculated powder diffraction line list of InGa2S4 (a crystal structure in Alexandria, relaxed with GGA-PBE; Cu Kα (weighted mean of Kα1 and Kα2)).

Structural model:
Cell: 5.281 5.281 6.375 Å, 90.00 90.00 90.00°
Space group P-42m (No. 111)
Unique sites:
In1 0.000 0.000 0.000 x1
Ga1 0.000 0.500 0.500 x2
S1 0.268 0.268 0.283 x4

Peak list (10 most intense, 15° ≤ 2θ ≤ 90°, sorted by position)
2θ/deg, I/Imax, hkl
16.79, 192, 1 0 0
21.85, 298, 1 0 1
27.68, 1000, 1 1 1
32.82, 126, 1 0 2
40.74, 111, 2 1 1
44.56, 441, 2 0 2
48.77, 173, 2 2 0
49.34, 183, 1 1 3
57.00, 242, 3 1 1
88.24, 113, 4 2 2